1.
Diffraction record for Nb12Al3In. The X-ray powder pattern is theoretical, not measured: it uses a DFT-relaxed cell (PBE, the Materials Project) and Cu Kα (λ = 1.5418 Å).
Peak positions follow from Bragg's law for the DFT cell and can differ from measured ones.

Largest 8 diffraction maxima, sorted by position, 5° ≤ 2θ ≤ 70°:
d (Å)  intensity  h k l
2.627  25  2 0 0
2.349  100  0 2 2
2.344  25  2 0 2
2.336  63  1 0 4
2.143  55  1 2 2
2.134  26  1 1 4
1.513  23  2 2 4
1.458  14  2 3 0

Crystal structure
```
Nb12Al3In
1.0
5.248 0.000 0.000
0.000 5.262 0.000
0.000 0.000 10.431
Nb Al In
12 3 1
direct
0.000 0.000 0.125
0.000 0.000 0.369
0.000 0.000 0.631
0.000 0.000 0.875
0.239 0.500 0.500
0.259 0.500 0.000
0.500 0.256 0.243
0.500 0.256 0.757
0.500 0.744 0.243
0.500 0.744 0.757
0.741 0.500 0.000
0.761 0.500 0.500
0.000 0.500 0.250
0.000 0.500 0.750
0.500 0.000 0.000
0.500 0.000 0.500
```

2.
Diffraction record for AlInO3. The X-ray powder pattern is theoretical, not measured: it uses a DFT-relaxed cell (PBE, the Materials Project) and Cu Kα (λ = 1.5418 Å).
Peak positions follow from Bragg's law for the DFT cell and can differ from measured ones.

Largest 8 diffraction maxima, sorted by position, 5° ≤ 2θ ≤ 70°:
d (Å)  intensity  h k l
3.742  28  0 2 0
3.681  42  1 0 1
3.303  19  1 1 1
2.624  100  1 2 1
2.560  22  0 0 2
2.113  21  0 2 2
1.841  22  2 0 2
1.490  23  1 2 3

Crystal structure
```
AlInO3
1.0
5.297 0.000 0.000
0.000 7.483 0.000
0.000 0.000 5.120
Al In O
4 4 12
direct
0.000 0.000 0.000
0.000 0.500 0.000
0.500 0.000 0.500
0.500 0.500 0.500
0.055 0.250 0.482
0.445 0.750 0.982
0.555 0.250 0.018
0.945 0.750 0.518
0.043 0.750 0.110
0.201 0.558 0.698
0.201 0.942 0.698
0.299 0.058 0.198
0.299 0.442 0.198
0.457 0.250 0.610
0.543 0.750 0.390
0.701 0.558 0.802
0.701 0.942 0.802
0.799 0.058 0.302
0.799 0.442 0.302
0.957 0.250 0.890
```